The following is a simulated X-ray diffraction stick pattern of Hf3ZrAl2. It was derived from a cell relaxed with PBE, using λ = 1.5418 Å (Cu Kα).
Peak positions follow from Bragg's law for the DFT cell and can differ from measured ones.

Lattice parameters (Å, degrees): 6.831 5.498 5.510 76.72 51.56 51.72
Fractional coordinates of all 6 atoms:
Hf  0.000  0.000  0.000
Hf  0.498  0.802  0.198
Hf  0.802  0.498  0.502
Zr  0.301  0.301  0.699
Al  0.401  0.401  0.099
Al  0.901  0.901  0.599

Most intense lines, 2θ from 5° to 70°, sorted by position:
2θ (°)	intensity
18.4	14
33.9	100
34.0	17
38.9	11
41.8	20
43.3	9
54.9	10
58.4	9
60.8	19
65.1	10